Structure and theoretical powder X-ray diffraction pattern of Tb2CoGe2 (the PBE geometry in the Materials Project; Cu Kα (λ = 1.5418 Å)).
Peak positions follow from Bragg's law for the DFT cell and can differ from measured ones.

Structural model:
Lattice parameters (Å, degrees): 5.6809 5.6809 10.2392 116.21 116.21 43.55
Element x y z (fractional)
Tb  0.0055  0.0055  0.3323
Tb  0.1868  0.1868  0.1108
Tb  0.8132  0.8132  0.8892
Tb  0.9945  0.9945  0.6677
Co  0.2762  0.2762  0.6394
Co  0.7238  0.7238  0.3606
Ge  0.3466  0.3466  0.4335
Ge  0.4872  0.4872  0.1249
Ge  0.5128  0.5128  0.8751
Ge  0.6534  0.6534  0.5665

Main lines, low angle first (10° ≤ 2θ ≤ 90°):
- 2θ = 33.40°, d 2.683, intensity 51
- 2θ = 33.53°, d 2.673, intensity 40
- 2θ = 33.72°, d 2.658, intensity 36
- 2θ = 34.08°, d 2.631, intensity 100
- 2θ = 36.99°, d 2.430, intensity 39
- 2θ = 40.04°, d 2.252, intensity 25
- 2θ = 41.09°, d 2.197, intensity 47
- 2θ = 42.91°, d 2.107, intensity 44
- 2θ = 55.89°, d 1.645, intensity 23
- 2θ = 65.85°, d 1.418, intensity 21



Structure and theoretical powder X-ray diffraction pattern of TbCoGe2 (the PBE geometry in the Materials Project; Cu Kα (λ = 1.5418 Å)).
Peak positions follow from Bragg's law for the DFT cell and can differ from measured ones.

Structural model:
Lattice parameters (Å, degrees): 4.1687 16.4876 4.1879 90.00 90.00 90.00
Element x y z (fractional)
Tb  0.0000  0.1079  0.2500
Tb  0.0000  0.8921  0.7500
Tb  0.5000  0.3921  0.7500
Tb  0.5000  0.6079  0.2500
Co  0.0000  0.3180  0.2500
Co  0.0000  0.6820  0.7500
Co  0.5000  0.1820  0.7500
Co  0.5000  0.8180  0.2500
Ge  0.0000  0.2512  0.7500
Ge  0.0000  0.4549  0.2500
Ge  0.0000  0.5451  0.7500
Ge  0.0000  0.7488  0.2500
Ge  0.5000  0.0451  0.7500
Ge  0.5000  0.2488  0.2500
Ge  0.5000  0.7512  0.7500
Ge  0.5000  0.9549  0.2500

Main lines, low angle first (10° ≤ 2θ ≤ 90°):
- 2θ = 30.74°, d 2.908, intensity 21
- 2θ = 34.46°, d 2.602, intensity 100
- 2θ = 34.69°, d 2.586, intensity 36
- 2θ = 39.21°, d 2.297, intensity 29
- 2θ = 43.21°, d 2.094, intensity 28
- 2θ = 43.41°, d 2.084, intensity 28
- 2θ = 54.73°, d 1.677, intensity 13
- 2θ = 56.55°, d 1.627, intensity 18
- 2θ = 59.92°, d 1.544, intensity 16
- 2θ = 62.91°, d 1.477, intensity 18



Structure and theoretical powder X-ray diffraction pattern of Tb2CoGe6 (the PBE geometry in the Materials Project; Cu Kα (λ = 1.5418 Å)).
Peak positions follow from Bragg's law for the DFT cell and can differ from measured ones.

Structural model:
Lattice parameters (Å, degrees): 4.0698 10.9473 10.9473 21.03 90.00 90.00
Element x y z (fractional)
Tb  0.0000  0.0000  0.0000
Tb  0.0000  0.3355  0.3355
Co  0.5000  0.7772  0.7772
Ge  0.0000  0.6063  0.6063
Ge  0.0000  0.7225  0.7225
Ge  0.5000  0.1045  0.1045
Ge  0.5000  0.2215  0.2215
Ge  0.5000  0.4572  0.4572
Ge  0.5000  0.8835  0.8835

Main lines, low angle first (10° ≤ 2θ ≤ 90°):
- 2θ = 25.52°, d 3.491, intensity 12
- 2θ = 33.29°, d 2.691, intensity 39
- 2θ = 33.83°, d 2.650, intensity 100
- 2θ = 37.85°, d 2.377, intensity 23
- 2θ = 43.27°, d 2.091, intensity 12
- 2θ = 44.13°, d 2.052, intensity 18
- 2θ = 44.52°, d 2.035, intensity 24
- 2θ = 45.40°, d 1.998, intensity 23
- 2θ = 57.45°, d 1.604, intensity 16
- 2θ = 65.47°, d 1.426, intensity 15